No. 1
This entry pairs a crystal structure of SrZr2SnO6 with its simulated powder X-ray diffraction pattern. Radiation: Cu Ka. Structure: a structure optimized by DFT (GGA-PBE).
Kinematic intensities with the Lorentz-polarization factor, no thermal factor.

Structure:
a b c (Å): 8.181 8.301 4.234
angles (deg): 90.00 90.00 90.00
Space group Cmmm (No. 65)
Unique sites:
1 Sr 0.000 0.000 0.000 (multiplicity 2)
2 Zr 0.250 0.250 0.500 (multiplicity 4)
3 Sn 0.000 0.500 0.000 (multiplicity 2)
4 O 0.000 0.187 0.500 (multiplicity 4)
5 O 0.190 0.500 0.500 (multiplicity 4)
6 O 0.250 0.250 0.000 (multiplicity 4)

Most intense lines, 2θ from 5° to 70°, by intensity:
(2 2 0), 2θ = 30.7°, intensity 100.0; (0 2 1), 2θ = 30.2°, intensity 88.7; (2 0 1), 2θ = 30.4°, intensity 87.6; (2 2 2), 2θ = 53.5°, intensity 41.8; (2 4 1), 2θ = 54.1°, intensity 41.6; (4 2 1), 2θ = 54.5°, intensity 39.9; (0 0 2), 2θ = 42.7°, intensity 33.1; (0 4 0), 2θ = 43.6°, intensity 27.2; (4 0 0), 2θ = 44.3°, intensity 26.3; (0 4 2), 2θ = 62.7°, intensity 17.6


No. 2
This entry pairs a crystal structure of Ta4SnO12 with its simulated powder X-ray diffraction pattern. Radiation: Cu Ka. Structure: a structure optimized by DFT (GGA-PBE).
Kinematic intensities with the Lorentz-polarization factor, no thermal factor.

Structure:
a b c (Å): 5.030 5.562 9.360
angles (deg): 81.47 74.47 90.00
Space group P1 (No. 1)
Unique sites:
1 Ta 0.000 0.000 0.000 (multiplicity 1)
2 Ta 0.148 0.734 0.695 (multiplicity 1)
3 Ta 0.497 0.499 0.998 (multiplicity 1)
4 Ta 0.653 0.232 0.693 (multiplicity 1)
5 Sn 0.581 0.617 0.346 (multiplicity 1)
6 O 0.173 0.267 0.043 (multiplicity 1)
7 O 0.287 0.036 0.779 (multiplicity 1)
8 O 0.287 0.770 0.035 (multiplicity 1)
9 O 0.369 0.812 0.492 (multiplicity 1)
10 O 0.426 0.535 0.780 (multiplicity 1)
11 O 0.516 0.420 0.201 (multiplicity 1)
12 O 0.641 0.346 0.494 (multiplicity 1)
13 O 0.720 0.197 0.914 (multiplicity 1)
14 O 0.790 0.886 0.200 (multiplicity 1)
15 O 0.860 0.698 0.913 (multiplicity 1)
16 O 0.869 0.966 0.650 (multiplicity 1)
17 O 0.974 0.462 0.658 (multiplicity 1)

Most intense lines, 2θ from 5° to 70°, by intensity:
(1 -1 1), 2θ = 25.0°, intensity 100.0; (0 0 1), 2θ = 9.9°, intensity 91.4; (1 1 2), 2θ = 27.0°, intensity 43.0; (0 2 2), 2θ = 35.7°, intensity 42.1; (1 1 -1), 2θ = 29.7°, intensity 41.8; (0 0 3), 2θ = 30.1°, intensity 38.5; (-1 1 2), 2θ = 33.0°, intensity 38.4; (2 2 2), 2θ = 49.1°, intensity 20.6; (2 2 -1), 2θ = 55.6°, intensity 18.7; (2 0 0), 2θ = 37.1°, intensity 15.8


No. 3
This entry pairs a crystal structure of Tb4Sn3O with its simulated powder X-ray diffraction pattern. Radiation: Cu Ka. Structure: a structure optimized by DFT (GGA-PBE).
Kinematic intensities with the Lorentz-polarization factor, no thermal factor.

Structure:
a b c (Å): 7.827 9.586 6.284
angles (deg): 90.00 90.00 90.00
Space group Pmn2_1 (No. 31)
Unique sites:
1 Tb 0.000 0.042 0.000 (multiplicity 2)
2 Tb 0.000 0.789 0.427 (multiplicity 2)
3 Tb 0.242 0.678 0.985 (multiplicity 4)
4 Sn 0.000 0.086 0.508 (multiplicity 2)
5 Sn 0.178 0.357 0.992 (multiplicity 4)
6 O 0.000 0.791 0.063 (multiplicity 2)

Most intense lines, 2θ from 5° to 70°, by intensity:
(0 0 2), 2θ = 28.4°, intensity 100.0; (2 1 0), 2θ = 24.6°, intensity 66.0; (2 1 2), 2θ = 37.9°, intensity 40.2; (1 3 2), 2θ = 42.0°, intensity 25.3; (0 3 2), 2θ = 40.3°, intensity 24.8; (1 3 0), 2θ = 30.2°, intensity 23.6; (0 3 0), 2θ = 27.9°, intensity 22.4; (1 3 1), 2θ = 33.5°, intensity 21.4; (2 3 2), 2θ = 46.7°, intensity 18.1; (1 4 2), 2θ = 49.2°, intensity 18.0